This entry pairs a crystal structure of PrV2PtO8 with its calculated powder X-ray diffraction pattern. Radiation: Cu Kα (λ = 1.5418 Å). Structure: DFT lattice parameters and positions (PBE+U).

Most intense lines, 2θ = 10–80°, in order of rising 2θ:
- 4.869 Å, I 1000, hkl 1 0 0
- 3.942 Å, I 276, hkl 1 0 1
- 2.811 Å, I 585, hkl 1 1 0
- 2.765 Å, I 699, hkl 0 1 2
- 2.156 Å, I 255, hkl 1 1 2
- 1.971 Å, I 371, hkl 2 0 2
- 1.840 Å, I 135, hkl 2 1 0
- 1.623 Å, I 110, hkl 3 0 0
- 1.614 Å, I 313, hkl 1 2 2
- 1.442 Å, I 142, hkl 1 1 4
- 1.406 Å, I 102, hkl 2 2 0
- 1.253 Å, I 128, hkl 3 1 2

Structure:
a b c (Å): 5.6223 5.6223 6.7171
angles (deg): 90.00 90.00 120.00
Space group P-3m1 (No. 164)
Symmetry-distinct sites (fractional):
1 Pr 0.0000 0.0000 0.0000 (multiplicity 1)
2 V 0.3333 0.6667 0.2260 (multiplicity 2)
3 Pt 0.0000 0.0000 0.5000 (multiplicity 1)
4 O 0.1574 0.3147 0.2921 (multiplicity 6)
5 O 0.3333 0.6667 0.9759 (multiplicity 2)